Entry 1:
This entry pairs a crystal structure of Zr2Pd5Au2 with its computed XRD peak list. Radiation: Cu Kα (weighted mean of Kα1 and Kα2). Structure: a cell relaxed with PBE.
Kinematic intensities with the Lorentz-polarization factor, no thermal factor.

Principal peaks in the range 10° ≤ 2θ ≤ 90°, by angle:
d_spacing, Rel. int.
2.838, 100
2.448, 45
2.403, 40
2.271, 75
2.116, 61
2.096, 46
2.047, 41
2.003, 35

Structural model:
Cell: 13.9322 7.2502 6.6387 Å, 90.00 90.00 90.00°
Space group Ima2 (No. 46)
Symmetry-distinct sites (fractional):
Zr  0.1294  0.0280  0.0000 x8
Pd  0.0482  0.1683  0.3297 x8
Pd  0.1474  0.6743  0.8393 x8
Pd  0.2500  0.1723  0.3213 x4
Au  0.0000  0.0000  0.6787 x4
Au  0.2500  0.5320  0.1677 x4

=====

Entry 2:
This entry pairs a crystal structure of NaLa2Cu2O6 with its computed XRD peak list. Radiation: Cu Kα (weighted mean of Kα1 and Kα2). Structure: a cell relaxed with PBE.
Kinematic intensities with the Lorentz-polarization factor, no thermal factor.

Principal peaks in the range 10° ≤ 2θ ≤ 90°, by angle:
d_spacing, Rel. int.
5.922, 72
2.894, 82
2.879, 100
2.589, 37
2.041, 43
2.029, 20
1.665, 37
1.662, 19

Structural model:
Cell: 5.7580 5.7580 17.7647 Å, 90.00 90.00 120.00°
Space group R-3m (No. 166, hexagonal axes)
Symmetry-distinct sites (fractional):
Na  0.0000  0.0000  0.0000 x3
La  0.0000  0.0000  0.2023 x6
Cu  0.0000  0.0000  0.4256 x6
O  0.0296  0.5148  0.7671 x18

=====

Entry 3:
This entry pairs a crystal structure of Ca2B2O5 with its computed XRD peak list. Radiation: Cu Kα (weighted mean of Kα1 and Kα2). Structure: a cell relaxed with PBE.
Kinematic intensities with the Lorentz-polarization factor, no thermal factor.

Principal peaks in the range 10° ≤ 2θ ≤ 90°, by angle:
d_spacing, Rel. int.
4.733, 28
2.943, 39
2.909, 100
2.154, 15
2.117, 23
2.106, 23
1.910, 19
1.833, 13

Structural model:
Cell: 3.6319 5.2695 6.3668 Å, 67.87 86.31 88.77°
Space group P-1 (No. 2)
Symmetry-distinct sites (fractional):
Ca  0.2457  0.2457  0.2424 x2
B  0.1884  0.3130  0.6874 x2
O  0.0000  0.5000  0.5000 x1
O  0.2574  0.0610  0.6805 x2
O  0.2739  0.4127  0.8469 x2

=====

Entry 4:
This entry pairs a crystal structure of HoSi2Rh3 with its computed XRD peak list. Radiation: Cu Kα (weighted mean of Kα1 and Kα2). Structure: a cell relaxed with PBE.
Kinematic intensities with the Lorentz-polarization factor, no thermal factor.

Principal peaks in the range 10° ≤ 2θ ≤ 90°, by angle:
d_spacing, Rel. int.
2.716, 50
2.609, 45
2.537, 55
2.492, 100
2.325, 15
2.006, 17
1.854, 39
1.521, 21

Structural model:
Cell: 8.9927 7.9328 5.4313 Å, 90.00 90.00 90.00°
Space group Cmcm (No. 63)
Symmetry-distinct sites (fractional):
Ho  0.0000  0.1598  0.2500 x4
Si  0.2245  0.5000  0.0000 x8
Rh  0.0000  0.4960  0.7500 x4
Rh  0.1731  0.2085  0.7500 x8

=====

Entry 5:
This entry pairs a crystal structure of Pr12Tm7Sc with its computed XRD peak list. Radiation: Cu Kα (weighted mean of Kα1 and Kα2). Structure: a cell relaxed with PBE.
Kinematic intensities with the Lorentz-polarization factor, no thermal factor.

Principal peaks in the range 10° ≤ 2θ ≤ 90°, by angle:
d_spacing, Rel. int.
3.271, 28
3.062, 25
2.984, 100
2.923, 32
2.741, 34
2.722, 32
2.598, 21
2.296, 32

Structural model:
Cell: 19.6255 19.6255 6.2262 Å, 90.00 90.00 120.00°
Space group R-3m (No. 166, hexagonal axes)
Symmetry-distinct sites (fractional):
Pr  0.0000  0.4125  0.0000 x18
Pr  0.0997  0.5499  0.4716 x18
Tm  0.0000  0.0000  0.0000 x3
Tm  0.0797  0.1594  0.3032 x18
Sc  0.0000  0.0000  0.5000 x3

=====

Entry 6:
This entry pairs a crystal structure of Li6Ca3Sn5 with its computed XRD peak list. Radiation: Cu Kα (weighted mean of Kα1 and Kα2). Structure: a cell relaxed with PBE.
Kinematic intensities with the Lorentz-polarization factor, no thermal factor.

Principal peaks in the range 10° ≤ 2θ ≤ 90°, by angle:
d_spacing, Rel. int.
4.276, 38
4.149, 38
3.283, 100
3.237, 26
2.724, 28
2.365, 29
2.181, 26
2.131, 25

Structural model:
Cell: 4.7307 9.9962 13.6792 Å, 90.00 90.00 90.00°
Space group Immm (No. 71)
Symmetry-distinct sites (fractional):
Li  0.0000  0.1681  0.0000 x4
Li  0.0000  0.2879  0.3593 x8
Ca  0.0000  0.0000  0.2087 x4
Ca  0.0000  0.0000  0.5000 x2
Sn  0.0000  0.3574  0.1492 x8
Sn  0.0000  0.5000  0.5000 x2

=====

Entry 7:
This entry pairs a crystal structure of NaCaAlF6 with its computed XRD peak list. Radiation: Cu Kα (weighted mean of Kα1 and Kα2). Structure: a cell relaxed with PBE.
Kinematic intensities with the Lorentz-polarization factor, no thermal factor.

Principal peaks in the range 10° ≤ 2θ ≤ 90°, by angle:
d_spacing, Rel. int.
4.531, 20
4.281, 31
3.390, 100
3.112, 32
2.328, 77
1.827, 69
1.624, 20
1.510, 20

Structural model:
Cell: 9.0628 9.0628 5.1074 Å, 90.00 90.00 120.00°
Space group P321 (No. 150)
Symmetry-distinct sites (fractional):
Na  0.0000  0.7116  0.0000 x3
Ca  0.0000  0.3706  0.5000 x3
Al  0.0000  0.0000  0.5000 x1
Al  0.3333  0.6667  0.9971 x2
F  0.0850  0.1934  0.7004 x6
F  0.1434  0.5884  0.7885 x6
F  0.2229  0.4764  0.2051 x6

=====

Entry 8:
This entry pairs a crystal structure of Ba4Sm4Zn3PtO15 with its computed XRD peak list. Radiation: Cu Kα (weighted mean of Kα1 and Kα2). Structure: a cell relaxed with PBE.
Kinematic intensities with the Lorentz-polarization factor, no thermal factor.

Principal peaks in the range 10° ≤ 2θ ≤ 90°, by angle:
d_spacing, Rel. int.
2.953, 100
2.831, 29
2.408, 26
2.044, 12
1.867, 18
1.705, 16
1.633, 7
1.477, 17

Structural model:
Cell: 11.8192 11.8192 6.7973 Å, 90.00 90.00 120.00°
Space group P6_3mc (No. 186)
Symmetry-distinct sites (fractional):
Ba  0.1727  0.3454  0.0000 x6
Ba  0.3333  0.6667  0.6793 x2
Sm  0.0000  0.0000  0.1844 x2
Sm  0.0452  0.5226  0.3406 x6
Zn  0.1713  0.3426  0.5172 x6
Pt  0.3333  0.6667  0.1572 x2
O  0.0563  0.3958  0.6419 x12
O  0.0827  0.1654  0.4134 x6
O  0.1646  0.5823  0.9983 x6
O  0.2510  0.5020  0.3308 x6